The following is a calculated powder X-ray diffraction pattern of V3Se2ClO8. It was derived from a PBE+U-relaxed structure, using λ = 1.5418 Å (Cu Kα).
Kinematic intensities with the Lorentz-polarization factor, no thermal factor.

The 6 most intense peaks (2θ from 10° to 80°), sorted by position:
(hkl), d (Å), Rel. int.
0 1 0, 7.902, 27
1 -1 0, 5.279, 100
1 1 0, 5.023, 43
0 0 2, 4.924, 51
2 1 0, 3.060, 25
0 1 -3, 3.031, 42

Atomic structure:
abc: 6.7893 7.9119 9.8479
angles: 90.21 90.02 92.88
Space group P-1 (No. 2)
Inequivalent atoms, fractional coordinates:
V  0.0000  0.0000  0.0000 (multiplicity 1)
V  0.0000  0.0000  0.5000 (multiplicity 1)
V  0.2423  0.1861  0.2506 (multiplicity 2)
V  0.5000  0.0000  0.0000 (multiplicity 1)
V  0.5000  0.0000  0.5000 (multiplicity 1)
Se  0.2730  0.3533  0.5569 (multiplicity 2)
Se  0.2728  0.3533  0.9453 (multiplicity 2)
Cl  0.1182  0.8748  0.7498 (multiplicity 2)
O  0.0538  0.2372  0.5703 (multiplicity 2)
O  0.0538  0.2370  0.9307 (multiplicity 2)
O  0.2522  0.0235  0.4008 (multiplicity 2)
O  0.2523  0.0236  0.0993 (multiplicity 2)
O  0.3065  0.3735  0.1181 (multiplicity 2)
O  0.3074  0.3733  0.3842 (multiplicity 2)
O  0.4537  0.2073  0.5928 (multiplicity 2)
O  0.4540  0.2076  0.9089 (multiplicity 2)